(1)
For Ca3N2, a structure optimized by DFT (PBE) gives the calculated powder XRD pattern in this record (Cu Kα (λ = 1.5418 Å)).

```
data_Ca3N2
_cell_length_a 11.4755
_cell_length_b 11.4755
_cell_length_c 11.4755
_cell_angle_alpha 90.00
_cell_angle_beta 90.00
_cell_angle_gamma 90.00
_space_group_name_H-M_alt 'I a -3'
_space_group_IT_number 206
_space_group_name_Hall '-I 2b 2c 3'
loop_
_atom_site_label
_atom_site_fract_x
_atom_site_fract_y
_atom_site_fract_z
Ca1 0.1105 0.1543 0.6172
N1 0.0000 0.2500 0.4604
N2 0.2500 0.2500 0.2500
```

Largest 10 diffraction maxima, in order of rising 2θ, 10 to 90 degrees two-theta:
2θ (°)	intensity	index
18.94	20	2 1 1
26.91	15	2 2 2
29.12	82	3 2 1
31.18	81	4 0 0
36.73	69	3 3 2
44.67	100	4 4 0
55.48	12	4 4 4
59.16	42	7 2 1
63.87	29	7 2 3
77.07	11	7 6 1



(2)
For Ca3N2, a structure optimized by DFT (PBE) gives the calculated powder XRD pattern in this record (Cu Kα (λ = 1.5418 Å)).

```
data_Ca3N2
_cell_length_a 4.6011
_cell_length_b 4.6011
_cell_length_c 4.6011
_cell_angle_alpha 90.00
_cell_angle_beta 90.00
_cell_angle_gamma 90.00
_space_group_name_H-M_alt 'P m -3 m'
_space_group_IT_number 221
_space_group_name_Hall '-P 4 2 3'
loop_
_atom_site_label
_atom_site_fract_x
_atom_site_fract_y
_atom_site_fract_z
Ca1 0.0000 0.0000 0.5000
N1 0.0000 0.0000 0.0000
N2 0.5000 0.5000 0.5000
```

Largest 10 diffraction maxima, in order of rising 2θ, 10 to 90 degrees two-theta:
2θ (°)	intensity	index
19.29	37	1 0 0
33.74	100	1 1 1
39.16	70	2 0 0
44.01	15	2 1 0
56.58	41	2 2 0
60.35	7	3 0 0
67.52	33	3 1 1
70.96	13	2 2 2
84.16	6	4 0 0
87.39	3	4 1 0



(3)
For NaCaN, a structure optimized by DFT (PBE) gives the calculated powder XRD pattern in this record (Cu Kα (λ = 1.5418 Å)).

```
data_NaCaN
_cell_length_a 8.4243
_cell_length_b 4.0782
_cell_length_c 6.1713
_cell_angle_alpha 90.00
_cell_angle_beta 90.00
_cell_angle_gamma 90.00
_space_group_name_H-M_alt 'P n m a'
_space_group_IT_number 62
loop_
_space_group_symop_operation_xyz
'x,y,z'
'-x,-y,-z'
'-x+1/2,-y,z+1/2'
'x+1/2,y,-z+1/2'
'x+1/2,-y+1/2,-z+1/2'
'-x+1/2,y+1/2,z+1/2'
'-x,y+1/2,-z'
'x,-y+1/2,z'
loop_
_atom_site_label
_atom_site_fract_x
_atom_site_fract_y
_atom_site_fract_z
Na1 0.1090 0.2500 0.0978
Ca1 0.1379 0.2500 0.5716
N1 0.1456 0.7500 0.3410
```

Largest 10 diffraction maxima, in order of rising 2θ, 10 to 90 degrees two-theta:
2θ (°)	intensity	index
17.82	32	1 0 1
30.51	100	2 1 0
30.86	31	1 0 2
35.11	22	3 0 1
38.10	85	1 1 2
42.55	42	2 1 2
42.94	37	4 0 0
44.43	38	0 2 0
49.24	44	3 1 2
63.50	19	4 2 0



(4)
For NaCaN, a structure optimized by DFT (PBE) gives the calculated powder XRD pattern in this record (Cu Kα (λ = 1.5418 Å)).

```
data_NaCaN
_cell_length_a 3.8272
_cell_length_b 3.8272
_cell_length_c 10.0252
_cell_angle_alpha 90.00
_cell_angle_beta 90.00
_cell_angle_gamma 120.00
_space_group_name_H-M_alt 'P 63 m c'
_space_group_IT_number 186
_space_group_name_Hall 'P 6c -2c'
loop_
_atom_site_label
_atom_site_fract_x
_atom_site_fract_y
_atom_site_fract_z
Na1 0.3333 0.6667 0.0000
Ca1 0.0000 0.0000 0.2940
N1 0.3333 0.6667 0.3726
```

Largest 10 diffraction maxima, in order of rising 2θ, 10 to 90 degrees two-theta:
2θ (°)	intensity	index
17.69	49	0 0 2
26.90	17	1 0 0
28.36	13	1 0 1
32.38	100	1 0 2
38.25	23	1 0 3
45.37	22	1 0 4
47.51	39	1 1 0
51.09	12	1 1 2
58.67	16	2 0 2
60.91	14	1 1 4



(5)
For Na2Ca5N4, a structure optimized by DFT (PBE) gives the calculated powder XRD pattern in this record (Cu Kα (λ = 1.5418 Å)).

```
data_Na2Ca5N4
_cell_length_a 7.9089
_cell_length_b 7.9089
_cell_length_c 14.9650
_cell_angle_alpha 90.00
_cell_angle_beta 90.00
_cell_angle_gamma 90.00
_space_group_name_H-M_alt 'P 4/n c c'
_space_group_IT_number 130
loop_
_space_group_symop_operation_xyz
'x,y,z'
'-x,-y,-z'
'-y+1/2,x,z'
'y+1/2,-x,-z'
'-x+1/2,-y+1/2,z'
'x+1/2,y+1/2,-z'
'y,-x+1/2,z'
'-y,x+1/2,-z'
'x+1/2,-y,-z+1/2'
'-x+1/2,y,z+1/2'
'-y,-x,-z+1/2'
'y,x,z+1/2'
'-x,y+1/2,-z+1/2'
'x,-y+1/2,z+1/2'
'y+1/2,x+1/2,-z+1/2'
'-y+1/2,-x+1/2,z+1/2'
loop_
_atom_site_label
_atom_site_fract_x
_atom_site_fract_y
_atom_site_fract_z
Na1 0.0939 0.5939 0.2500
Ca1 0.0773 0.6338 0.5739
Ca2 0.2500 0.2500 0.1074
N1 0.0532 0.6348 0.4079
```

Largest 10 diffraction maxima, in order of rising 2θ, 10 to 90 degrees two-theta:
2θ (°)	intensity	index
11.83	75	0 0 2
15.85	21	1 1 0
16.31	21	1 0 2
27.90	30	2 1 2
30.99	100	2 1 3
35.91	72	3 1 0
36.01	46	0 0 6
36.42	32	3 1 1
51.76	34	3 1 6
52.07	16	4 2 1



(6)
For Ca3Nb2N4, a structure optimized by DFT (PBE) gives the calculated powder XRD pattern in this record (Cu Kα (λ = 1.5418 Å)).

```
data_Ca3Nb2N4
_cell_length_a 14.8843
_cell_length_b 7.9621
_cell_length_c 5.3704
_cell_angle_alpha 90.00
_cell_angle_beta 93.49
_cell_angle_gamma 90.00
_space_group_name_H-M_alt 'C 1 2/c 1'
_space_group_IT_number 15
loop_
_space_group_symop_operation_xyz
'x,y,z'
'-x,-y,-z'
'-x,y,-z+1/2'
'x,-y,z+1/2'
'x+1/2,y+1/2,z'
'-x+1/2,-y+1/2,-z'
'-x+1/2,y+1/2,-z+1/2'
'x+1/2,-y+1/2,z+1/2'
loop_
_atom_site_label
_atom_site_fract_x
_atom_site_fract_y
_atom_site_fract_z
Ca1 0.0000 0.1027 0.2500
Ca2 0.1343 0.3751 0.5067
Nb1 0.1893 0.1050 0.9350
N1 0.1142 0.0761 0.6020
N2 0.1680 0.3342 0.0601
```

Largest 10 diffraction maxima, in order of rising 2θ, 10 to 90 degrees two-theta:
2θ (°)	intensity	index
11.91	97	2 0 0
12.61	51	1 1 0
21.14	32	1 1 1
26.25	54	3 1 -1
30.86	100	2 2 1
32.15	40	5 1 0
36.40	53	4 2 -1
41.68	33	3 3 -1
45.57	26	0 4 0
58.66	27	2 2 3